(1)
Starting from a cell relaxed with PBE, the X-ray diffraction stick pattern of PdPtF4 was computed for Cu Kα (weighted mean of Kα1 and Kα2).
Lines closer than 0.1° are merged.

Structural model:
Cell lengths 5.5655, 4.9363, 6.4888 Å; angles 90.00, 90.00, 90.00 degrees
Space group Pnc2 (No. 30)
Symmetry-distinct sites (fractional):
Pd1 0.0000 0.0000 0.0000 [2 per cell]
Pt1 0.5000 0.0000 0.2862 [2 per cell]
F1 0.1890 0.2220 0.2751 [4 per cell]
F2 0.3549 0.7394 0.5272 [4 per cell]

The 8 most intense peaks (2θ from 10° to 80°), by angle:
d [Å], 2θ/deg, intensity
3.929, 22.6, 62.2
3.210, 27.8, 100.0
2.803, 31.9, 39.8
2.783, 32.2, 20.7
2.271, 39.7, 25.8
1.981, 45.8, 18.0
1.852, 49.2, 40.6
1.846, 49.4, 20.5

***

(2)
Starting from a cell relaxed with PBE, the X-ray diffraction stick pattern of PdPt3F6 was computed for Cu Kα (weighted mean of Kα1 and Kα2).
Lines closer than 0.1° are merged.

Structural model:
Cell lengths 5.4248, 5.5897, 5.6104 Å; angles 99.42, 104.07, 104.98 degrees
Space group P-1 (No. 2)
Symmetry-distinct sites (fractional):
Pd1 0.0000 0.0000 0.0000 [1 per cell]
Pt1 0.0000 0.0000 0.5000 [1 per cell]
Pt2 0.5000 0.0000 0.5000 [1 per cell]
Pt3 0.5000 0.5000 0.5000 [1 per cell]
F1 0.1712 0.3829 0.6128 [2 per cell]
F2 0.2637 0.3843 0.1437 [2 per cell]
F3 0.3429 0.8848 0.1251 [2 per cell]

The 8 most intense peaks (2θ from 10° to 80°), by angle:
d [Å], 2θ/deg, intensity
5.281, 16.8, 100.0
5.240, 16.9, 37.5
4.359, 20.4, 30.5
4.336, 20.5, 30.1
2.640, 34.0, 43.5
2.621, 34.2, 54.7
2.500, 35.9, 29.8
2.180, 41.4, 25.6

***

(3)
Starting from a cell relaxed with PBE, the X-ray diffraction stick pattern of Rb2PdPtF6 was computed for Cu Kα (weighted mean of Kα1 and Kα2).
Lines closer than 0.1° are merged.

Structural model:
Cell lengths 6.2187, 6.2187, 8.7918 Å; angles 90.00, 90.00, 90.00 degrees
Space group I4/mmm (No. 139)
Symmetry-distinct sites (fractional):
Rb1 0.0000 0.5000 0.2500 [4 per cell]
Pd1 0.0000 0.0000 0.0000 [2 per cell]
Pt1 0.0000 0.0000 0.5000 [2 per cell]
F1 0.0000 0.0000 0.2580 [4 per cell]
F2 0.2401 0.2401 0.5000 [8 per cell]

The 8 most intense peaks (2θ from 10° to 80°), by angle:
d [Å], 2θ/deg, intensity
5.077, 17.5, 8.9
4.397, 20.2, 17.7
3.109, 28.7, 100.0
2.198, 41.1, 34.8
1.966, 46.2, 7.9
1.795, 50.9, 41.4
1.555, 59.5, 22.0
1.390, 67.3, 18.4

***

(4)
Starting from a cell relaxed with PBE, the X-ray diffraction stick pattern of Pu2PdF11 was computed for Cu Kα (weighted mean of Kα1 and Kα2).
Lines closer than 0.1° are merged.

Structural model:
Cell lengths 8.7543, 9.9943, 11.1886 Å; angles 90.00, 90.00, 90.00 degrees
Space group Ibam (No. 72)
Symmetry-distinct sites (fractional):
Pu1 0.1238 0.1960 0.0000 [8 per cell]
Pd1 0.0000 0.5000 0.2500 [4 per cell]
F1 0.0000 0.0000 0.0000 [4 per cell]
F2 0.0450 0.3375 0.1299 [16 per cell]
F3 0.1676 0.1978 0.5000 [8 per cell]
F4 0.2275 0.0918 0.1357 [16 per cell]

The 8 most intense peaks (2θ from 10° to 80°), by angle:
d [Å], 2θ/deg, intensity
5.594, 15.8, 52.0
4.264, 20.8, 43.7
4.046, 22.0, 29.3
3.774, 23.6, 100.0
3.727, 23.9, 59.6
2.799, 32.0, 22.3
2.731, 32.8, 30.8
2.081, 43.5, 22.1

***

(5)
Starting from a cell relaxed with PBE, the X-ray diffraction stick pattern of Rb2Pd3F10 was computed for Cu Kα (weighted mean of Kα1 and Kα2).
Lines closer than 0.1° are merged.

Structural model:
Cell lengths 19.6030, 6.3464, 8.5936 Å; angles 90.00, 111.55, 90.00 degrees
Space group C2/m (No. 12)
Symmetry-distinct sites (fractional):
Rb1 0.1183 0.0000 0.2290 [4 per cell]
Rb2 0.2134 0.0000 0.8240 [4 per cell]
Pd1 0.0000 0.2542 0.5000 [4 per cell]
Pd2 0.0749 0.5000 0.9785 [4 per cell]
Pd3 0.1813 0.5000 0.5162 [4 per cell]
F1 0.0000 0.2834 0.0000 [4 per cell]
F2 0.0190 0.0000 0.6722 [4 per cell]
F3 0.0230 0.5000 0.6856 [4 per cell]
F4 0.1089 0.2559 0.5269 [8 per cell]
F5 0.1332 0.5000 0.2671 [4 per cell]
F6 0.1444 0.2806 0.9781 [8 per cell]
F7 0.2326 0.5000 0.7623 [4 per cell]
F8 0.2500 0.2500 0.5000 [4 per cell]

The 8 most intense peaks (2θ from 10° to 80°), by angle:
d [Å], 2θ/deg, intensity
3.997, 22.2, 46.2
3.528, 25.2, 78.4
3.478, 25.6, 77.5
3.446, 25.9, 91.3
3.267, 27.3, 100.0
2.664, 33.6, 38.3
2.276, 39.6, 66.1
1.881, 48.4, 50.4

***

(6)
Starting from a cell relaxed with PBE, the X-ray diffraction stick pattern of Rb3PdF5 was computed for Cu Kα (weighted mean of Kα1 and Kα2).
Lines closer than 0.1° are merged.

Structural model:
Cell lengths 7.6027, 7.6027, 6.5383 Å; angles 90.00, 90.00, 90.00 degrees
Space group P4/mbm (No. 127)
Symmetry-distinct sites (fractional):
Rb1 0.0000 0.0000 0.0000 [2 per cell]
Rb2 0.1763 0.3237 0.5000 [4 per cell]
Pd1 0.0000 0.5000 0.0000 [2 per cell]
F1 0.0000 0.0000 0.5000 [2 per cell]
F2 0.1323 0.6323 0.2131 [8 per cell]

The 8 most intense peaks (2θ from 10° to 80°), by angle:
d [Å], 2θ/deg, intensity
3.286, 27.1, 100.0
3.269, 27.3, 32.0
3.017, 29.6, 39.4
2.688, 33.3, 29.3
2.357, 38.2, 31.7
2.076, 43.6, 26.8
1.891, 48.1, 21.3
1.644, 55.9, 16.0

***

(7)
Starting from a cell relaxed with PBE, the X-ray diffraction stick pattern of Rb3Pd4F12 was computed for Cu Kα (weighted mean of Kα1 and Kα2).
Lines closer than 0.1° are merged.

Structural model:
Cell lengths 8.5526, 8.5526, 8.5526 Å; angles 90.00, 90.00, 90.00 degrees
Space group Im-3m (No. 229)
Symmetry-distinct sites (fractional):
Rb1 0.0000 0.0000 0.5000 [6 per cell]
Pd1 0.2500 0.2500 0.2500 [8 per cell]
F1 0.0000 0.2556 0.2556 [24 per cell]

The 8 most intense peaks (2θ from 10° to 80°), by angle:
d [Å], 2θ/deg, intensity
6.048, 14.6, 12.3
4.276, 20.8, 21.6
3.024, 29.5, 100.0
2.138, 42.3, 41.8
1.912, 47.5, 8.6
1.746, 52.4, 40.6
1.512, 61.3, 25.4
1.352, 69.5, 17.6

***

(8)
Starting from a cell relaxed with PBE, the X-ray diffraction stick pattern of RbPdF4 was computed for Cu Kα (weighted mean of Kα1 and Kα2).
Lines closer than 0.1° are merged.

Structural model:
Cell lengths 4.3700, 15.8315, 6.0810 Å; angles 90.00, 90.00, 90.00 degrees
Space group Cmc2_1 (No. 36)
Symmetry-distinct sites (fractional):
Rb1 0.0000 0.1550 0.0000 [4 per cell]
Pd1 0.0000 0.4198 0.0420 [4 per cell]
F1 0.0000 0.0786 0.5431 [4 per cell]
F2 0.0000 0.3150 0.2123 [4 per cell]
F3 0.0000 0.3517 0.7757 [4 per cell]
F4 0.0000 0.4725 0.3578 [4 per cell]

The 8 most intense peaks (2θ from 10° to 80°), by angle:
d [Å], 2θ/deg, intensity
3.958, 22.5, 36.2
3.463, 25.7, 100.0
3.317, 26.9, 81.7
3.041, 29.4, 33.5
2.945, 30.4, 44.8
2.256, 40.0, 30.8
2.185, 41.3, 36.1
1.825, 50.0, 38.3

***

(9)
Starting from a cell relaxed with PBE, the X-ray diffraction stick pattern of Rb2ZnPd3F12 was computed for Cu Kα (weighted mean of Kα1 and Kα2).
Lines closer than 0.1° are merged.

Structural model:
Cell lengths 7.8950, 7.8950, 17.8447 Å; angles 90.00, 90.00, 120.00 degrees
Space group R-3m (No. 166, hexagonal axes)
Symmetry-distinct sites (fractional):
Rb1 0.0000 0.0000 0.1526 [6 per cell]
Zn1 0.0000 0.0000 0.5000 [3 per cell]
Pd1 0.0000 0.5000 0.0000 [9 per cell]
F1 0.0723 0.5362 0.1097 [18 per cell]
F2 0.0859 0.5429 0.3598 [18 per cell]

The 8 most intense peaks (2θ from 10° to 80°), by angle:
d [Å], 2θ/deg, intensity
6.385, 13.9, 41.6
3.358, 26.5, 57.6
3.289, 27.1, 100.0
3.192, 27.9, 42.9
2.974, 30.0, 31.0
2.128, 42.5, 36.0
1.974, 46.0, 40.5
1.645, 55.9, 30.0

***

(10)
Starting from a cell relaxed with PBE, the X-ray diffraction stick pattern of RePd2F was computed for Cu Kα (weighted mean of Kα1 and Kα2).
Lines closer than 0.1° are merged.

Structural model:
Cell lengths 6.1528, 6.1528, 6.1528 Å; angles 90.00, 90.00, 90.00 degrees
Space group Fm-3m (No. 225)
Symmetry-distinct sites (fractional):
Re1 0.0000 0.0000 0.0000 [4 per cell]
Pd1 0.2500 0.2500 0.2500 [8 per cell]
F1 0.0000 0.0000 0.5000 [4 per cell]

The 6 most intense peaks (2θ from 10° to 80°), by angle:
d [Å], 2θ/deg, intensity
3.552, 25.1, 37.7
2.175, 41.5, 100.0
1.855, 49.1, 19.5
1.538, 60.2, 16.4
1.412, 66.2, 8.3
1.256, 75.7, 33.0

***

(11)
Starting from a cell relaxed with PBE, the X-ray diffraction stick pattern of Tl2PdRhF6 was computed for Cu Kα (weighted mean of Kα1 and Kα2).
Lines closer than 0.1° are merged.

Structural model:
Cell lengths 6.1535, 6.1807, 8.6637 Å; angles 90.00, 90.00, 90.00 degrees
Space group Immm (No. 71)
Symmetry-distinct sites (fractional):
Tl1 0.0000 0.0000 0.2500 [4 per cell]
Pd1 0.0000 0.5000 0.0000 [2 per cell]
Rh1 0.0000 0.5000 0.5000 [2 per cell]
F1 0.0000 0.5000 0.2617 [4 per cell]
F2 0.2376 0.2640 0.5000 [8 per cell]

The 8 most intense peaks (2θ from 10° to 80°), by angle:
d [Å], 2θ/deg, intensity
3.090, 28.9, 20.3
3.074, 29.0, 100.0
2.180, 41.4, 24.7
2.166, 41.7, 12.1
1.781, 51.3, 16.9
1.775, 51.5, 25.1
1.537, 60.2, 19.6
1.378, 68.0, 11.2

***

(12)
Starting from a cell relaxed with PBE, the X-ray diffraction stick pattern of PdRuF6 was computed for Cu Kα (weighted mean of Kα1 and Kα2).
Lines closer than 0.1° are merged.

Structural model:
Cell lengths 5.1654, 5.1654, 9.7657 Å; angles 90.00, 90.00, 120.00 degrees
Space group P-31c (No. 163)
Symmetry-distinct sites (fractional):
Pd1 0.3333 0.6667 0.2500 [2 per cell]
Ru1 0.0000 0.0000 0.0000 [2 per cell]
F1 0.0021 0.3061 0.6165 [12 per cell]

The 8 most intense peaks (2θ from 10° to 80°), by angle:
d [Å], 2θ/deg, intensity
4.473, 19.8, 16.8
4.067, 21.9, 58.8
3.298, 27.0, 100.0
2.632, 34.1, 19.1
2.583, 34.7, 24.0
2.033, 44.6, 24.1
1.774, 51.5, 44.6
1.598, 57.7, 23.1